Diffraction record for Li3Fe2Ni3O10. The X-ray diffraction stick pattern is theoretical, not measured: it uses a DFT-relaxed cell (GGA+U, the Materials Project) and Cu Kα.

Principal peaks in the range 5° ≤ 2θ ≤ 70°, in order of rising 2θ:
| 2theta | I/Imax |
| --- | --- |
| 12.68 | 100 |
| 18.55 | 46 |
| 18.66 | 88 |
| 22.99 | 28 |
| 27.01 | 45 |
| 43.55 | 60 |
| 43.95 | 60 |
| 44.14 | 56 |
| 63.37 | 30 |
| 63.88 | 30 |

Structure:
Lattice parameters (Å, degrees): 5.0480 5.0692 7.6982 71.25 70.93 79.70
Element x y z (fractional)
Li 0.0000 0.0000 0.0000
Li 0.0130 0.8361 0.3845
Li 0.0359 0.3684 0.2135
Fe 0.5118 0.7138 0.0911
Fe 0.5271 0.4963 0.4750
Ni 0.0159 0.6012 0.7819
Ni 0.5051 0.9118 0.6816
Ni 0.5241 0.3084 0.8820
O 0.2691 0.7993 0.5533
O 0.2766 0.6585 0.9256
O 0.2870 0.5114 0.3119
O 0.2933 0.0579 0.1062
O 0.2974 0.2719 0.7379
O 0.7291 0.1661 0.4518
O 0.7435 0.5647 0.6462
O 0.7472 0.9252 0.8543
O 0.7614 0.3830 0.0045
O 0.7605 0.7115 0.2378

=====

Diffraction record for La3Co2CuO9. The X-ray diffraction stick pattern is theoretical, not measured: it uses a DFT-relaxed cell (GGA+U, the Materials Project) and Cu Kα.

Principal peaks in the range 5° ≤ 2θ ≤ 70°, in order of rising 2θ:
| 2theta | I/Imax |
| --- | --- |
| 22.80 | 23 |
| 32.04 | 100 |
| 32.89 | 99 |
| 39.68 | 21 |
| 46.57 | 59 |
| 57.10 | 24 |
| 57.65 | 41 |
| 59.25 | 18 |
| 66.99 | 16 |
| 68.96 | 17 |

Structure:
Lattice parameters (Å, degrees): 5.5874 5.5874 13.1794 90.00 90.00 120.00
Element x y z (fractional)
La 0.0000 0.0000 0.2500
La 0.0000 0.0000 0.7500
La 0.3333 0.6667 0.0844
La 0.3333 0.6667 0.5844
La 0.6667 0.3333 0.4156
La 0.6667 0.3333 0.9156
Co 0.3333 0.6667 0.3350
Co 0.3333 0.6667 0.8350
Co 0.6667 0.3333 0.1650
Co 0.6667 0.3333 0.6650
Cu 0.0000 0.0000 0.0000
Cu 0.0000 0.0000 0.5000
O 0.0000 0.4341 0.2500
O 0.0000 0.5659 0.7500
O 0.1045 0.3361 0.9154
O 0.1045 0.7683 0.4154
O 0.2317 0.3361 0.4154
O 0.2317 0.8955 0.9154
O 0.3361 0.1045 0.5846
O 0.3361 0.2317 0.0846
O 0.4341 0.0000 0.2500
O 0.4341 0.4341 0.7500
O 0.5659 0.0000 0.7500
O 0.5659 0.5659 0.2500
O 0.6639 0.7683 0.9154
O 0.6639 0.8955 0.4154
O 0.7683 0.1045 0.0846
O 0.7683 0.6639 0.5846
O 0.8955 0.2317 0.5846
O 0.8955 0.6639 0.0846

=====

Diffraction record for LiCaFe3SnO8. The X-ray diffraction stick pattern is theoretical, not measured: it uses a DFT-relaxed cell (GGA+U, the Materials Project) and Cu Kα.

Principal peaks in the range 5° ≤ 2θ ≤ 70°, in order of rising 2θ:
| 2theta | I/Imax |
| --- | --- |
| 16.12 | 20 |
| 18.72 | 46 |
| 19.00 | 59 |
| 32.56 | 52 |
| 33.06 | 91 |
| 35.01 | 100 |
| 35.17 | 44 |
| 48.68 | 50 |
| 59.69 | 25 |
| 60.80 | 20 |

Structure:
Lattice parameters (Å, degrees): 6.0937 10.9997 9.3420 90.00 90.15 90.00
Element x y z (fractional)
Li 0.1181 0.0000 0.0001
Li 0.1340 0.7516 0.4510
Li 0.8660 0.2516 0.5490
Li 0.8819 0.5000 0.9999
Ca 0.3739 0.2741 0.5058
Ca 0.3833 0.4596 0.0103
Ca 0.6167 0.9596 0.9897
Ca 0.6261 0.7741 0.4942
Fe 0.1270 0.9982 0.3145
Fe 0.1291 0.5100 0.3410
Fe 0.3758 0.0095 0.6617
Fe 0.3764 0.2213 0.1879
Fe 0.3758 0.5055 0.6841
Fe 0.3761 0.7167 0.1692
Fe 0.6242 0.0055 0.3159
Fe 0.6239 0.2167 0.8308
Fe 0.6242 0.5095 0.3383
Fe 0.6236 0.7213 0.8121
Fe 0.8709 0.0100 0.6590
Fe 0.8730 0.4982 0.6855
Sn 0.1216 0.2191 0.8320
Sn 0.1259 0.7361 0.8077
Sn 0.8741 0.2361 0.1923
Sn 0.8784 0.7191 0.1680
O 0.1206 0.1402 0.6267
O 0.1231 0.9073 0.7241
O 0.1237 0.5435 0.8342
O 0.1282 0.5912 0.1293
O 0.1296 0.4536 0.5494
O 0.1311 0.1865 0.3315
O 0.1309 0.2788 0.0462
O 0.1330 0.8286 0.2318
O 0.3731 0.0409 0.1656
O 0.3728 0.0918 0.8686
O 0.3762 0.3991 0.2773
O 0.3772 0.6390 0.3688
O 0.3781 0.3335 0.7791
O 0.3786 0.6888 0.6644
O 0.3795 0.9557 0.4520
O 0.3816 0.7722 0.9540
O 0.6184 0.2722 0.0460
O 0.6214 0.1888 0.3356
O 0.6205 0.4557 0.5480
O 0.6219 0.8335 0.2209
O 0.6228 0.1390 0.6312
O 0.6238 0.8991 0.7227
O 0.6269 0.5409 0.8344
O 0.6272 0.5918 0.1314
O 0.8670 0.3286 0.7682
O 0.8689 0.6865 0.6685
O 0.8691 0.7788 0.9538
O 0.8704 0.9536 0.4506
O 0.8718 0.0912 0.8707
O 0.8763 0.0435 0.1658
O 0.8769 0.4073 0.2759
O 0.8794 0.6402 0.3733

=====

Diffraction record for Li3Fe2Si2O8. The X-ray diffraction stick pattern is theoretical, not measured: it uses a DFT-relaxed cell (GGA+U, the Materials Project) and Cu Kα.

Principal peaks in the range 5° ≤ 2θ ≤ 70°, in order of rising 2θ:
| 2theta | I/Imax |
| --- | --- |
| 15.81 | 78 |
| 21.53 | 80 |
| 21.82 | 100 |
| 23.35 | 98 |
| 23.47 | 92 |
| 28.72 | 74 |
| 31.92 | 96 |
| 33.94 | 60 |
| 34.70 | 97 |
| 36.38 | 42 |

Structure:
Lattice parameters (Å, degrees): 5.1701 6.6150 10.5660 90.08 90.55 90.23
Element x y z (fractional)
Li 0.0000 0.0000 0.0000
Li 0.0005 0.4953 0.5060
Li 0.4770 0.9975 0.3178
Li 0.4787 0.4999 0.8205
Li 0.5938 0.7424 0.5820
Li 0.5994 0.7499 0.0726
Fe 0.0004 0.4774 0.9817
Fe 0.4792 0.4834 0.3241
Fe 0.4884 0.0067 0.8286
Fe 0.9888 0.0062 0.4928
Si 0.4865 0.2481 0.0718
Si 0.4894 0.2487 0.5737
Si 0.9807 0.7564 0.7529
Si 0.9826 0.7382 0.2521
O 0.0274 0.7657 0.5929
O 0.0294 0.7403 0.1010
O 0.0915 0.9426 0.3261
O 0.1035 0.5482 0.8077
O 0.1029 0.9523 0.8222
O 0.1218 0.5478 0.3280
O 0.1757 0.2394 0.0475
O 0.1785 0.2391 0.5351
O 0.5454 0.2524 0.2284
O 0.5474 0.2589 0.7220
O 0.5991 0.4601 0.0086
O 0.6023 0.4549 0.4988
O 0.6153 0.0400 0.0140
O 0.6173 0.0430 0.5033
O 0.6605 0.7263 0.2743
O 0.6596 0.7525 0.7627

=====

Diffraction record for Li2Cr2FeSbO8. The X-ray diffraction stick pattern is theoretical, not measured: it uses a DFT-relaxed cell (GGA+U, the Materials Project) and Cu Kα.

Principal peaks in the range 5° ≤ 2θ ≤ 70°, in order of rising 2θ:
| 2theta | I/Imax |
| --- | --- |
| 19.45 | 100 |
| 25.20 | 31 |
| 32.73 | 36 |
| 35.28 | 41 |
| 35.86 | 14 |
| 35.97 | 14 |
| 39.45 | 10 |
| 44.87 | 19 |
| 54.84 | 10 |
| 59.64 | 18 |

Structure:
Lattice parameters (Å, degrees): 5.9889 9.6681 10.3367 90.13 90.18 90.08
Element x y z (fractional)
Li 0.0000 0.0000 0.0000
Li 0.0004 0.4125 0.3326
Li 0.0008 0.9113 0.3329
Li 0.0015 0.5002 0.6666
Li 0.5002 0.4132 0.8319
Li 0.4999 0.9109 0.8299
Li 0.5008 0.0006 0.5000
Li 0.5014 0.4993 0.1662
Cr 0.0016 0.1880 0.5024
Cr 0.2440 0.6892 0.9156
Cr 0.2557 0.1890 0.2480
Cr 0.5014 0.1896 0.0035
Cr 0.7436 0.6890 0.4188
Cr 0.7462 0.1888 0.2481
Cr 0.7576 0.1887 0.7480
Cr 0.9993 0.6896 0.1622
Fe 0.2471 0.1883 0.7478
Fe 0.2531 0.6881 0.4203
Fe 0.4999 0.6874 0.6604
Fe 0.7552 0.6892 0.9144
Sb 0.0015 0.4151 0.0007
Sb 0.4991 0.9157 0.1655
Sb 0.5030 0.4150 0.4997
Sb 0.9985 0.9145 0.6657
O 0.0008 0.0962 0.3320
O 0.0014 0.3071 0.1679
O 0.0017 0.5985 0.3337
O 0.0041 0.5558 0.8512
O 0.0046 0.2944 0.6672
O 0.2198 0.0557 0.5897
O 0.2227 0.5612 0.0736
O 0.2495 0.8082 0.2493
O 0.2500 0.3077 0.4159
O 0.2510 0.8067 0.7481
O 0.2528 0.3078 0.9183
O 0.2789 0.0604 0.0916
O 0.2827 0.5566 0.5773
O 0.4978 0.7925 0.5030
O 0.4981 0.8077 0.9981
O 0.4996 0.0976 0.8319
O 0.5010 0.0595 0.3143
O 0.5010 0.2939 0.1671
O 0.5008 0.6004 0.8271
O 0.5042 0.5567 0.3518
O 0.5054 0.3066 0.6660
O 0.7221 0.0592 0.0920
O 0.7217 0.5620 0.5752
O 0.7461 0.8066 0.7463
O 0.7493 0.3082 0.9160
O 0.7503 0.8077 0.2500
O 0.7548 0.3076 0.4159
O 0.7788 0.0607 0.5915
O 0.7799 0.5567 0.0748
O 0.9965 0.0560 0.8147
O 0.9973 0.7944 0.9976
O 0.9970 0.8070 0.4987

=====

Diffraction record for Ba2Sr2Mn3O10. The X-ray diffraction stick pattern is theoretical, not measured: it uses a DFT-relaxed cell (GGA+U, the Materials Project) and Cu Kα.

Principal peaks in the range 5° ≤ 2θ ≤ 70°, in order of rising 2θ:
| 2theta | I/Imax |
| --- | --- |
| 21.99 | 21 |
| 27.36 | 18 |
| 27.62 | 38 |
| 29.39 | 100 |
| 31.70 | 50 |
| 33.31 | 36 |
| 42.17 | 18 |
| 42.36 | 28 |
| 42.54 | 41 |
| 53.71 | 21 |

Structure:
Lattice parameters (Å, degrees): 7.1043 7.1043 12.9181 90.00 90.00 133.18
Element x y z (fractional)
Ba 0.2388 0.7612 0.8880
Ba 0.2612 0.7388 0.3880
Ba 0.7388 0.2612 0.6120
Ba 0.7612 0.2388 0.1120
Sr 0.0296 0.9704 0.6441
Sr 0.4704 0.5296 0.1441
Sr 0.5296 0.4704 0.8559
Sr 0.9704 0.0296 0.3559
Mn 0.0000 0.0000 0.0000
Mn 0.1279 0.8721 0.1524
Mn 0.3721 0.6279 0.6524
Mn 0.5000 0.5000 0.5000
Mn 0.6279 0.3721 0.3476
Mn 0.8721 0.1279 0.8476
O 0.0333 0.9667 0.8531
O 0.1248 0.3305 0.9616
O 0.1371 0.3629 0.7500
O 0.1695 0.3752 0.5384
O 0.2298 0.7702 0.6482
O 0.2702 0.7298 0.1482
O 0.3305 0.1248 0.0384
O 0.3629 0.1371 0.2500
O 0.3752 0.1695 0.4616
O 0.4667 0.5333 0.3531
O 0.5333 0.4667 0.6469
O 0.6248 0.8305 0.5384
O 0.6371 0.8629 0.7500
O 0.6695 0.8752 0.9616
O 0.7298 0.2702 0.8518
O 0.7702 0.2298 0.3518
O 0.8305 0.6248 0.4616
O 0.8629 0.6371 0.2500
O 0.8752 0.6695 0.0384
O 0.9667 0.0333 0.1469